1.
This entry pairs a crystal structure of La3P4Rh13 with its computed powder X-ray diffraction pattern. Radiation: Cu Kα. Structure: the PBE geometry in Alexandria.
Intensities are scaled so that the largest is 100.

Peak list (6 most intense, 2θ from 10° to 80°, low angle first)
| d/Å | 2θ/deg | intensity |
| --- | --- | --- |
| 2.450 | 36.7 | 100 |
| 2.361 | 38.1 | 31 |
| 2.208 | 40.9 | 32 |
| 1.883 | 48.3 | 14 |
| 1.640 | 56.1 | 15 |
| 1.317 | 71.7 | 19 |

Crystal structure
Cell lengths 8.8336, 8.8336, 8.8336 Å; angles 90.00, 90.00, 90.00 degrees
Fractional coordinates of all 40 atoms:
La: 0.0000 0.2500 0.5000
La: 0.0000 0.7500 0.5000
La: 0.2500 0.5000 0.0000
La: 0.5000 0.0000 0.2500
La: 0.5000 0.0000 0.7500
La: 0.7500 0.5000 0.0000
P: 0.2500 0.2500 0.2500
P: 0.2500 0.2500 0.7500
P: 0.2500 0.7500 0.2500
P: 0.2500 0.7500 0.7500
P: 0.7500 0.2500 0.2500
P: 0.7500 0.2500 0.7500
P: 0.7500 0.7500 0.2500
P: 0.7500 0.7500 0.7500
Rh: 0.0000 0.0000 0.0000
Rh: 0.0000 0.2639 0.1585
Rh: 0.0000 0.2639 0.8415
Rh: 0.0000 0.7361 0.1585
Rh: 0.0000 0.7361 0.8415
Rh: 0.1585 0.0000 0.2639
Rh: 0.1585 0.0000 0.7361
Rh: 0.2361 0.5000 0.3415
Rh: 0.2361 0.5000 0.6585
Rh: 0.2639 0.1585 0.0000
Rh: 0.2639 0.8415 0.0000
Rh: 0.3415 0.2361 0.5000
Rh: 0.3415 0.7639 0.5000
Rh: 0.5000 0.3415 0.2361
Rh: 0.5000 0.3415 0.7639
Rh: 0.5000 0.5000 0.5000
Rh: 0.5000 0.6585 0.2361
Rh: 0.5000 0.6585 0.7639
Rh: 0.6585 0.2361 0.5000
Rh: 0.6585 0.7639 0.5000
Rh: 0.7361 0.1585 0.0000
Rh: 0.7361 0.8415 0.0000
Rh: 0.7639 0.5000 0.3415
Rh: 0.7639 0.5000 0.6585
Rh: 0.8415 0.0000 0.2639
Rh: 0.8415 0.0000 0.7361

***

2.
This entry pairs a crystal structure of K4LaAu with its computed powder X-ray diffraction pattern. Radiation: Cu Kα. Structure: the PBE geometry in Alexandria.
Intensities are scaled so that the largest is 100.

Peak list (6 most intense, 2θ from 10° to 80°, low angle first)
| d/Å | 2θ/deg | intensity |
| --- | --- | --- |
| 6.056 | 14.6 | 35 |
| 3.709 | 24.0 | 80 |
| 3.163 | 28.2 | 100 |
| 2.141 | 42.2 | 37 |
| 2.019 | 44.9 | 37 |
| 1.854 | 49.1 | 25 |

Crystal structure
Cell lengths 7.4173, 7.4173, 7.4173 Å; angles 60.00, 60.00, 60.00 degrees
Fractional coordinates of all 6 atoms:
K: 0.3762 0.3762 0.3762
K: 0.3762 0.3762 0.8714
K: 0.3762 0.8714 0.3762
K: 0.8714 0.3762 0.3762
La: 0.0000 0.0000 0.0000
Au: 0.7500 0.7500 0.7500